Theoretical powder X-ray diffraction pattern
Compound: Mn2V3FeP6O24
Radiation: CuKα
Structure: a crystal structure in Alexandria, relaxed with GGA+U

Crystal structure
Lattice parameters (Å, degrees): 8.6296 8.6296 21.1294 90.00 90.00 120.00
Space group R3 (No. 146, hexagonal axes)
One atom of each set of equivalent atoms:
1 Mn 0.0000 0.0000 0.0000 [3 per cell]
2 Mn 0.0000 0.0000 0.4998 [3 per cell]
3 V 0.0000 0.0000 0.1443 [3 per cell]
4 V 0.0000 0.0000 0.6441 [3 per cell]
5 V 0.0000 0.0000 0.8560 [3 per cell]
6 Fe 0.0000 0.0000 0.3557 [3 per cell]
7 P 0.0002 0.2920 0.2506 [9 per cell]
8 P 0.0000 0.7085 0.7507 [9 per cell]
9 O 0.0024 0.8081 0.6901 [9 per cell]
10 O 0.0028 0.1946 0.1899 [9 per cell]
11 O 0.0064 0.8122 0.8109 [9 per cell]
12 O 0.0174 0.1828 0.9199 [9 per cell]
13 O 0.0248 0.8360 0.4233 [9 per cell]
14 O 0.1391 0.4683 0.9776 [9 per cell]
15 O 0.1688 0.4826 0.2461 [9 per cell]
16 O 0.1687 0.6863 0.7463 [9 per cell]

Main lines, by intensity (2θ = 10–90°):
2θ = 24.2°, I 100, (1 1 3)
2θ = 20.6°, I 80, (1 1 0)
2θ = 32.8°, I 71, (2 -1 6)
2θ = 56.4°, I 36, (4 1 0)
2θ = 36.1°, I 34, (3 0 0)
2θ = 47.1°, I 28, (3 -2 8)
2θ = 49.6°, I 26, (4 -2 6)
2θ = 62.8°, I 23, (0 1 14)
2θ = 32.0°, I 16, (2 1 1)
2θ = 25.3°, I 15, (2 0 2)